1.
Starting from a crystal structure in OQMD, relaxed with PBE, the XRD peak list of K2Si2Hg3S8 was computed for a wavelength of 1.5418 Å.
No peak broadening, texture or thermal motion is included.

Crystal structure
```
15
Lattice="4.8299 -4.2409 0.0000 4.8299 4.2409 0.0000 -0.7940 0.0000 9.6835" Properties=species:S:1:pos:R:3 pbc="T T T"
K 1.9093 0.0000 2.2190
K 6.9565 0.0000 7.4645
Si 2.0013 -0.1006 7.0455
Si 6.8645 -0.1006 2.6380
Hg 4.4329 2.4628 4.8418
Hg 4.8299 1.0961 0.0000
Hg 4.4329 -1.6288 4.8418
S 3.8007 2.9032 2.4993
S 1.9752 1.0606 5.2939
S 1.7977 1.0880 8.8609
S 5.0651 2.9032 7.1842
S 3.8183 -1.2418 7.2124
S 7.0681 1.0880 0.8226
S 6.8906 1.0606 4.3896
S 5.0474 -1.2418 2.4711
```

Top 12 peaks for 10° ≤ 2θ ≤ 80°, in order of rising 2θ:
- 13.91 deg, I = 45.5
- 16.25 deg, I = 30.9
- 18.32 deg, I = 41.9
- 18.43 deg, I = 42.5
- 22.89 deg, I = 87.8
- 25.00 deg, I = 39.8
- 27.17 deg, I = 28.6
- 28.01 deg, I = 100.0
- 29.06 deg, I = 61.5
- 30.03 deg, I = 37.9
- 37.14 deg, I = 32.0
- 37.36 deg, I = 30.8

2.
Starting from a crystal structure in OQMD, relaxed with PBE, the XRD peak list of RbCuReSe2S was computed for a wavelength of 1.5418 Å.
No peak broadening, texture or thermal motion is included.

Crystal structure
```
12
Lattice="1.8848 -7.6841 0.0000 1.8848 7.6841 0.0000 0.0000 0.0000 9.5684" Properties=species:S:1:pos:R:3 pbc="T T T"
Rb 1.8848 3.9209 7.1763
Rb 1.8848 -3.9209 2.3921
Cu 1.8848 7.2403 2.3921
Cu 1.8848 -7.2403 7.1763
Re 1.8848 0.0000 0.0000
Re 1.8848 0.0000 4.7842
Se 1.8848 5.9532 0.3822
Se 1.8848 5.9532 4.4020
Se 1.8848 -5.9532 5.1664
Se 1.8848 -5.9532 9.1862
S 1.8848 0.8721 2.3921
S 1.8848 -0.8721 7.1763
```

Top 12 peaks for 10° ≤ 2θ ≤ 80°, in order of rising 2θ:
- 11.52 deg, I = 100.0
- 18.55 deg, I = 13.1
- 21.88 deg, I = 41.3
- 23.15 deg, I = 13.6
- 29.42 deg, I = 26.9
- 30.90 deg, I = 30.4
- 35.00 deg, I = 54.0
- 37.60 deg, I = 27.1
- 37.76 deg, I = 18.2
- 42.39 deg, I = 52.1
- 48.29 deg, I = 18.1
- 63.61 deg, I = 14.4

3.
Starting from a crystal structure in OQMD, relaxed with PBE, the XRD peak list of Er2Fe4B4Ir was computed for a wavelength of 1.5418 Å.
No peak broadening, texture or thermal motion is included.

Crystal structure
```
11
Lattice="0.0000 4.7986 5.4610 2.5238 0.0000 5.4610 2.5238 4.7986 0.0000" Properties=species:S:1:pos:R:3 pbc="T T T"
Er 2.5238 4.7986 1.6167
Er 2.5238 4.7986 9.3053
Fe 1.2619 2.3993 0.0000
Fe 1.2619 2.3993 2.7305
Fe 1.2619 2.3993 5.4610
Fe 3.7857 7.1978 8.1914
B 2.5238 3.2534 3.9671
B 2.5238 3.2534 6.9549
B 2.5238 6.3437 3.9671
B 2.5238 6.3437 6.9549
Ir 2.5238 4.7986 5.4610
```

Top 12 peaks for 10° ≤ 2θ ≤ 80°, in order of rising 2θ:
- 18.49 deg, I = 26.1
- 31.71 deg, I = 100.0
- 37.48 deg, I = 37.0
- 37.91 deg, I = 12.8
- 40.38 deg, I = 61.0
- 41.62 deg, I = 56.2
- 53.87 deg, I = 9.2
- 57.25 deg, I = 19.6
- 61.47 deg, I = 15.5
- 66.23 deg, I = 10.0
- 68.02 deg, I = 13.1
- 69.59 deg, I = 14.2